The following is a theoretical powder X-ray diffraction pattern of Cs3H4Cl. It was derived from a crystal structure in Alexandria, relaxed with PBE, using λ = 1.5418 Å (Cu Kα).
Kinematic intensities with the Lorentz-polarization factor, no thermal factor.

Top 10 peaks for 10 to 80 degrees two-theta, in order of falling intensity:
| d [Å] | 2θ/deg | Rel. int. | hkl |
| --- | --- | --- | --- |
| 3.384 | 26.33 | 100 | 3 1 -1 |
| 4.460 | 19.91 | 96 | 4 0 -1 |
| 5.182 | 17.11 | 80 | 6 0 0 |
| 2.588 | 34.67 | 80 | 9 1 -1 |
| 3.833 | 23.21 | 63 | 5 1 0 |
| 4.808 | 18.45 | 36 | 1 1 0 |
| 7.773 | 11.38 | 32 | 4 0 0 |
| 2.136 | 42.31 | 27 | 2 2 1 |
| 3.167 | 28.18 | 26 | 3 1 1 |
| 1.870 | 48.69 | 23 | 13 1 1 |

Atomic structure:
```
16
Lattice="31.469 0.000 0.000 0.000 4.867 0.000 -0.761 0.000 4.882" Properties=species:S:1:pos:R:3 pbc="T T T"
Cs 0.000 0.000 0.000
Cs 5.289 0.000 3.310
Cs 9.684 2.434 1.573
Cs 15.734 2.434 0.000
Cs 21.023 2.434 3.310
Cs 25.419 0.000 1.573
H 2.070 2.434 1.211
H 2.699 2.434 0.786
H 12.274 0.000 4.096
H 12.902 0.000 3.671
H 17.805 0.000 1.211
H 18.434 0.000 0.786
H 28.008 2.434 4.096
H 28.637 2.434 3.671
Cl -0.381 2.434 2.441
Cl 15.354 0.000 2.441
```